Diffraction record for SrCa4Mg2. The XRD peak list is computed, not measured: it uses a DFT-relaxed cell (PBE, Alexandria) and λ = 1.5418 Å (Cu Kα).
Intensities are scaled so that the largest is 100.

Principal peaks in the range 2θ = 10–90°, low angle first:
| (hkl) | 2θ (°) | I/Imax |
| --- | --- | --- |
| 1 0 1 | 18.41 | 14.0 |
| 2 1 1 | 25.52 | 100.0 |
| 3 1 0 | 27.86 | 49.1 |
| 2 2 1 | 29.81 | 36.2 |
| 3 1 1 | 32.38 | 36.4 |
| 0 0 2 | 32.69 | 29.7 |
| 3 1 2 | 43.47 | 27.8 |
| 4 3 1 | 47.89 | 28.6 |

Structural model:
```
14
Lattice="10.126 0.000 0.000 0.000 10.126 0.000 0.000 0.000 5.479" Properties=species:S:1:pos:R:3 pbc="T T T"
Sr 0.000 0.000 0.000
Sr 5.063 5.063 2.740
Ca 0.935 3.462 2.740
Ca 1.601 5.998 0.000
Ca 3.462 0.935 2.740
Ca 4.128 8.525 0.000
Ca 5.998 1.601 0.000
Ca 6.664 9.191 2.740
Ca 8.525 4.128 0.000
Ca 9.191 6.664 2.740
Mg 2.213 7.913 2.740
Mg 2.850 2.850 0.000
Mg 7.276 7.276 0.000
Mg 7.913 2.213 2.740
```